Entry 1:
Diffraction record for Dy5Ho4Tm4. The XRD peak list is computed, not measured: it uses a crystal structure in Alexandria, relaxed with GGA-PBE and Cu Kα (λ = 1.5418 Å).
Intensities are scaled so that the largest is 100.

Structure:
a = 12.6621 Å, b = 12.6621 Å, c = 4.9615 Å
α = 90.00°, β = 90.00°, γ = 90.00°
Space group I4/m (No. 87)
Symmetry-distinct sites (fractional):
Dy  0.0000  0.0000  0.0000 (multiplicity 2)
Dy  0.0383  0.8067  0.5000 (multiplicity 8)
Ho  0.1541  0.2314  0.0000 (multiplicity 8)
Tm  0.0764  0.6147  0.0000 (multiplicity 8)

Main lines, by angle (2θ from 10° to 90°):
(hkl)	d/Å	Rel. int.
2 3 1	2.866	100
5 1 0	2.482	51
5 1 2	1.755	36
7 4 1	1.497	43
4 6 2	1.433	12
10 2 0	1.241	6
7 4 3	1.139	18
10 2 2	1.110	17



Entry 2:
Diffraction record for DyHo2Tm4. The XRD peak list is computed, not measured: it uses a crystal structure in Alexandria, relaxed with GGA-PBE and Cu Kα (λ = 1.5418 Å).
Intensities are scaled so that the largest is 100.

Structure:
a = 6.1574 Å, b = 3.5568 Å, c = 19.6329 Å
α = 90.00°, β = 95.97°, γ = 90.00°
Space group Cm (No. 8)
Symmetry-distinct sites (fractional):
Dy  0.0000  0.0000  0.0000 (multiplicity 2)
Ho  0.0951  0.0000  0.2869 (multiplicity 2)
Ho  0.1893  0.0000  0.5732 (multiplicity 2)
Tm  0.2850  0.0000  0.8567 (multiplicity 2)
Tm  0.3086  0.5000  0.4304 (multiplicity 2)
Tm  0.3814  0.0000  0.1435 (multiplicity 2)
Tm  0.4037  0.5000  0.7158 (multiplicity 2)

Main lines, by angle (2θ from 10° to 90°):
(hkl)	d/Å	Rel. int.
2 0 -1	3.075	35
0 0 7	2.789	52
1 1 3	2.726	100
1 1 -4	2.666	96
0 2 0	1.778	42
1 1 10	1.611	20
1 1 -11	1.574	20
3 1 6	1.499	48
4 0 2	1.489	16
4 0 -5	1.479	16
4 2 -5	1.137	14
3 1 13	1.097	18



Entry 3:
Diffraction record for Dy2Ho8Tm. The XRD peak list is computed, not measured: it uses a crystal structure in Alexandria, relaxed with GGA-PBE and Cu Kα (λ = 1.5418 Å).
Intensities are scaled so that the largest is 100.

Structure:
a = 18.6986 Å, b = 6.8865 Å, c = 5.5273 Å
α = 90.00°, β = 92.88°, γ = 90.00°
Space group C2/m (No. 12)
Symmetry-distinct sites (fractional):
Dy  0.2163  0.0000  0.2515 (multiplicity 4)
Ho  0.0465  0.0000  0.2351 (multiplicity 4)
Ho  0.1309  0.2341  0.7328 (multiplicity 8)
Ho  0.1863  0.5000  0.2326 (multiplicity 4)
Tm  0.0000  0.5000  0.0000 (multiplicity 2)

Main lines, by angle (2θ from 10° to 90°):
(hkl)	d/Å	Rel. int.
5 1 -1	2.878	6
2 2 -1	2.810	43
6 0 -1	2.770	100
0 0 2	2.760	23
6 0 1	2.655	17
8 2 0	1.932	9
0 4 0	1.722	8
11 1 0	1.648	6
8 2 -2	1.615	9
2 2 3	1.587	7
8 2 2	1.553	7
6 4 -1	1.462	15



Entry 4:
Diffraction record for DyHoTm5. The XRD peak list is computed, not measured: it uses a crystal structure in Alexandria, relaxed with GGA-PBE and Cu Kα (λ = 1.5418 Å).
Intensities are scaled so that the largest is 100.

Structure:
a = 11.4819 Å, b = 6.6636 Å, c = 12.0016 Å
α = 90.00°, β = 109.92°, γ = 90.00°
Space group C2/c (No. 15)
Symmetry-distinct sites (fractional):
Dy  0.0000  0.0269  0.2500 (multiplicity 4)
Ho  0.2500  0.2500  0.0000 (multiplicity 4)
Tm  0.0000  0.4158  0.7500 (multiplicity 4)
Tm  0.0779  0.2713  0.5003 (multiplicity 8)
Tm  0.2204  0.3593  0.2478 (multiplicity 8)

Main lines, by angle (2θ from 10° to 90°):
(hkl)	d/Å	Rel. int.
3 1 -1	3.318	19
3 1 -3	2.886	69
0 2 2	2.870	90
3 1 1	2.836	100
0 0 4	2.821	94
4 0 0	2.699	23
2 2 1	2.640	39
2 2 -3	2.488	36
4 0 -4	2.401	18
3 3 -1	1.921	19
6 2 -4	1.600	22
0 4 2	1.597	31



Entry 5:
Diffraction record for Dy6HoTm6. The XRD peak list is computed, not measured: it uses a crystal structure in Alexandria, relaxed with GGA-PBE and Cu Kα (λ = 1.5418 Å).
Intensities are scaled so that the largest is 100.

Structure:
a = 6.4977 Å, b = 10.8818 Å, c = 6.4994 Å
α = 90.00°, β = 115.25°, γ = 90.00°
Space group P2/m (No. 10)
Symmetry-distinct sites (fractional):
Dy  0.0000  0.1683  0.0000 (multiplicity 2)
Dy  0.2630  0.0000  0.7376 (multiplicity 2)
Dy  0.3539  0.5000  0.6422 (multiplicity 2)
Ho  0.0000  0.5000  0.0000 (multiplicity 1)
Tm  0.0000  0.2744  0.5000 (multiplicity 2)
Tm  0.5000  0.1985  0.5000 (multiplicity 2)
Tm  0.5000  0.2756  0.0000 (multiplicity 2)

Main lines, by angle (2θ from 10° to 90°):
(hkl)	d/Å	Rel. int.
1 3 -1	3.026	77
0 0 2	2.935	92
2 2 -1	2.783	29
2 0 -2	2.744	40
0 4 0	2.720	28
2 2 0	2.586	100
1 3 1	2.511	31
2 2 -2	2.450	20
1 1 -3	2.114	21
2 0 2	1.740	22
1 5 -3	1.531	24
1 3 3	1.508	22



Entry 6:
Diffraction record for Dy4Ho8Tm3. The XRD peak list is computed, not measured: it uses a crystal structure in Alexandria, relaxed with GGA-PBE and Cu Kα (λ = 1.5418 Å).
Intensities are scaled so that the largest is 100.

Structure:
a = 6.8502 Å, b = 6.8502 Å, c = 34.8800 Å
α = 90.00°, β = 90.00°, γ = 120.00°
Space group R-3m (No. 166, hexagonal axes)
Symmetry-distinct sites (fractional):
Dy  0.0000  0.0000  0.0000 (multiplicity 3)
Dy  0.0000  0.0000  0.1637 (multiplicity 6)
Dy  0.0000  0.0000  0.5000 (multiplicity 3)
Ho  0.0000  0.0000  0.2553 (multiplicity 6)
Ho  0.0018  0.5009  0.2507 (multiplicity 18)
Tm  0.0000  0.5000  0.0000 (multiplicity 9)

Main lines, by angle (2θ from 10° to 90°):
(hkl)	d/Å	Rel. int.
1 1 3	3.285	17
0 2 1	2.953	27
0 0 12	2.907	56
0 2 4	2.808	100
1 1 9	2.566	13
2 0 8	2.452	73
0 2 16	1.757	23
2 2 0	1.713	37
2 0 20	1.503	16
2 2 12	1.475	44
4 0 4	1.462	14
2 2 24	1.108	17



Entry 7:
Diffraction record for DyHoTm4. The XRD peak list is computed, not measured: it uses a crystal structure in Alexandria, relaxed with GGA-PBE and Cu Kα (λ = 1.5418 Å).
Intensities are scaled so that the largest is 100.

Structure:
a = 3.4455 Å, b = 9.5574 Å, c = 5.5201 Å
α = 90.00°, β = 90.07°, γ = 90.00°
Space group P2/m (No. 10)
Symmetry-distinct sites (fractional):
Dy  0.0000  0.0000  0.0000 (multiplicity 1)
Ho  0.0000  0.5000  0.5000 (multiplicity 1)
Tm  0.5000  0.1669  0.5000 (multiplicity 2)
Tm  0.5000  0.3339  0.0000 (multiplicity 2)

Main lines, by angle (2θ from 10° to 90°):
(hkl)	d/Å	Rel. int.
1 0 0	3.446	7
1 1 1	2.795	91
0 3 1	2.760	100
1 3 1	2.154	12
1 4 0	1.964	33
2 0 0	1.723	8
1 4 2	1.600	34
0 6 0	1.593	19
2 3 1	1.461	29
0 6 2	1.380	12
1 7 1	1.237	15
2 6 0	1.170	10



Entry 8:
Diffraction record for Dy2HoTm8. The XRD peak list is computed, not measured: it uses a crystal structure in Alexandria, relaxed with GGA-PBE and Cu Kα (λ = 1.5418 Å).
Intensities are scaled so that the largest is 100.

Structure:
a = 17.8328 Å, b = 4.9323 Å, c = 7.8181 Å
α = 90.00°, β = 105.26°, γ = 90.00°
Space group C2/m (No. 12)
Symmetry-distinct sites (fractional):
Dy  0.2273  0.0000  0.1367 (multiplicity 4)
Ho  0.0000  0.5000  0.5000 (multiplicity 2)
Tm  0.0452  0.0000  0.2274 (multiplicity 4)
Tm  0.0906  0.5000  0.9548 (multiplicity 4)
Tm  0.1362  0.0000  0.6812 (multiplicity 4)
Tm  0.1817  0.5000  0.4088 (multiplicity 4)

Main lines, by angle (2θ from 10° to 90°):
(hkl)	d/Å	Rel. int.
1 1 2	2.853	100
6 0 1	2.470	51
6 2 1	1.747	36
11 1 0	1.491	28
1 3 2	1.488	14
2 2 4	1.426	12
12 0 2	1.236	4
0 4 0	1.233	2
3 1 6	1.134	6
11 3 0	1.133	12
12 2 2	1.105	11
6 4 1	1.103	6



Entry 9:
Diffraction record for Dy4Ho3Tm5. The XRD peak list is computed, not measured: it uses a crystal structure in Alexandria, relaxed with GGA-PBE and Cu Kα (λ = 1.5418 Å).
Intensities are scaled so that the largest is 100.

Structure:
a = 6.0719 Å, b = 7.0216 Å, c = 8.5822 Å
α = 89.98°, β = 89.95°, γ = 89.91°
Space group P-1 (No. 2)
Symmetry-distinct sites (fractional):
Dy  0.1672  0.2507  0.3327 (multiplicity 2)
Dy  0.3324  0.9996  0.6677 (multiplicity 2)
Ho  0.0000  0.5000  0.0000 (multiplicity 1)
Ho  0.1674  0.7499  0.3327 (multiplicity 2)
Tm  0.0000  0.0000  0.0000 (multiplicity 1)
Tm  0.3335  0.4996  0.6677 (multiplicity 2)
Tm  0.5001  0.2505  0.0000 (multiplicity 2)

Main lines, by angle (2θ from 10° to 90°):
(hkl)	d/Å	Rel. int.
1 2 1	2.863	100
2 0 2	2.480	51
3 2 0	1.754	30
2 0 -4	1.751	6
3 2 3	1.496	18
4 0 1	1.495	25
2 4 2	1.433	6
0 0 6	1.431	6
4 4 1	1.139	6
1 2 7	1.138	6
4 0 -5	1.137	6
3 2 6	1.109	10



Entry 10:
Diffraction record for DyHo7Tm4. The XRD peak list is computed, not measured: it uses a crystal structure in Alexandria, relaxed with GGA-PBE and Cu Kα (λ = 1.5418 Å).
Intensities are scaled so that the largest is 100.

Structure:
a = 3.5070 Å, b = 3.5070 Å, c = 34.2787 Å
α = 90.00°, β = 90.00°, γ = 120.00°
Space group P-3m1 (No. 164)
Symmetry-distinct sites (fractional):
Dy  0.0000  0.0000  0.0000 (multiplicity 1)
Ho  0.0000  0.0000  0.2500 (multiplicity 2)
Ho  0.0000  0.0000  0.5000 (multiplicity 1)
Ho  0.3333  0.6667  0.6661 (multiplicity 2)
Ho  0.3333  0.6667  0.9160 (multiplicity 2)
Tm  0.3333  0.6667  0.1670 (multiplicity 2)
Tm  0.3333  0.6667  0.4169 (multiplicity 2)

Main lines, by angle (2θ from 10° to 90°):
(hkl)	d/Å	Rel. int.
1 0 4	2.861	100
0 1 8	2.478	51
1 1 0	1.752	36
1 1 12	1.495	32
0 1 20	1.493	11
2 0 8	1.431	9
0 2 16	1.239	6
2 1 4	1.138	9
2 0 20	1.137	4
1 0 28	1.135	4
1 2 8	1.109	8
1 1 24	1.107	8



Entry 11:
Diffraction record for Dy5Ho5Tm. The XRD peak list is computed, not measured: it uses a crystal structure in Alexandria, relaxed with GGA-PBE and Cu Kα (λ = 1.5418 Å).
Intensities are scaled so that the largest is 100.

Structure:
a = 6.7940 Å, b = 6.7977 Å, c = 8.4878 Å
α = 75.04°, β = 75.18°, γ = 70.10°
Space group P-1 (No. 2)
Symmetry-distinct sites (fractional):
Dy  0.0000  0.0000  0.0000 (multiplicity 1)
Dy  0.1479  0.1445  0.3630 (multiplicity 2)
Dy  0.3189  0.3104  0.6364 (multiplicity 2)
Ho  0.0000  0.5000  0.0000 (multiplicity 1)
Ho  0.2235  0.6490  0.2761 (multiplicity 2)
Ho  0.3509  0.7708  0.7277 (multiplicity 2)
Tm  0.5000  0.0000  0.0000 (multiplicity 1)

Main lines, by angle (2θ from 10° to 90°):
(hkl)	d/Å	Rel. int.
1 -1 1	3.513	19
1 1 -2	2.806	23
2 2 1	2.781	60
1 1 3	2.772	18
2 0 -1	2.756	100
2 0 2	2.736	100
0 0 3	2.686	33
2 -2 0	1.951	17
-1 1 4	1.790	18
4 2 0	1.605	16
4 0 1	1.597	21
4 2 3	1.593	19



Entry 12:
Diffraction record for DyHo2Tm12. The XRD peak list is computed, not measured: it uses a crystal structure in Alexandria, relaxed with GGA-PBE and Cu Kα (λ = 1.5418 Å).
Intensities are scaled so that the largest is 100.

Structure:
a = 3.5756 Å, b = 5.5614 Å, c = 23.1025 Å
α = 90.00°, β = 94.41°, γ = 90.00°
Space group P2/m (No. 10)
Symmetry-distinct sites (fractional):
Dy  0.0000  0.0000  0.0000 (multiplicity 1)
Ho  0.1409  0.0000  0.2848 (multiplicity 2)
Tm  0.0956  0.5000  0.1930 (multiplicity 2)
Tm  0.2204  0.5000  0.4428 (multiplicity 2)
Tm  0.2892  0.0000  0.5755 (multiplicity 2)
Tm  0.3404  0.5000  0.6777 (multiplicity 2)
Tm  0.4285  0.0000  0.8528 (multiplicity 2)
Tm  0.4639  0.5000  0.9329 (multiplicity 2)

Main lines, by angle (2θ from 10° to 90°):
(hkl)	d/Å	Rel. int.
1 0 4	2.931	16
0 0 8	2.879	13
0 1 7	2.832	31
0 2 0	2.781	46
1 1 3	2.735	100
1 1 -5	2.593	24
0 1 8	2.557	18
1 0 -11	1.870	12
2 0 -1	1.788	13
1 3 3	1.597	20
1 2 -11	1.552	13
2 2 -1	1.504	14



Entry 13:
Diffraction record for DyHo5Tm7. The XRD peak list is computed, not measured: it uses a crystal structure in Alexandria, relaxed with GGA-PBE and Cu Kα (λ = 1.5418 Å).
Intensities are scaled so that the largest is 100.

Structure:
a = 6.6171 Å, b = 10.9362 Å, c = 11.3763 Å
α = 90.00°, β = 90.00°, γ = 90.00°
Space group Imm2 (No. 44)
Symmetry-distinct sites (fractional):
Dy  0.0000  0.0000  0.0000 (multiplicity 2)
Ho  0.0000  0.5000  0.8052 (multiplicity 2)
Ho  0.2314  0.2266  0.8044 (multiplicity 8)
Tm  0.0000  0.0000  0.3065 (multiplicity 2)
Tm  0.0000  0.0000  0.6131 (multiplicity 2)
Tm  0.0000  0.3304  0.0558 (multiplicity 4)
Tm  0.0000  0.3300  0.5539 (multiplicity 4)
Tm  0.0000  0.5000  0.3049 (multiplicity 2)

Main lines, by angle (2θ from 10° to 90°):
(hkl)	d/Å	Rel. int.
2 0 0	3.309	24
1 3 0	3.193	37
2 0 2	2.860	48
0 0 4	2.844	75
2 2 0	2.831	49
1 2 3	2.819	24
1 3 2	2.784	100
2 2 2	2.534	92
0 4 2	2.464	34
2 6 0	1.596	31
2 2 6	1.575	39
2 6 4	1.392	25